Computed powder diffraction line list
Compound: NdGaCo
Radiation: CuKα
Structure: a structure optimized by DFT (PBE)
Intensities are scaled so that the largest is 100.

Atomic structure:
Unit cell a=7.058 b=4.324 c=7.471 alpha=90.00 beta=90.00 gamma=90.00
Sites, in units of the cell vectors:
Nd: 0.021 0.250 0.189
Nd: 0.479 0.750 0.689
Nd: 0.521 0.250 0.311
Nd: 0.979 0.750 0.811
Ga: 0.166 0.250 0.578
Ga: 0.334 0.750 0.078
Ga: 0.666 0.250 0.922
Ga: 0.834 0.750 0.422
Co: 0.197 0.750 0.397
Co: 0.303 0.250 0.897
Co: 0.697 0.750 0.103
Co: 0.803 0.250 0.603

Peak list (10 most intense, 2θ from 15° to 90°, in order of falling intensity)
2θ = 35.0°, intensity 100, hkl 2 1 1; 2θ = 34.2°, intensity 59, hkl 1 1 2; 2θ = 41.8°, intensity 57, hkl 0 2 0; 2θ = 40.2°, intensity 21, hkl 3 0 1; 2θ = 67.6°, intensity 19, hkl 3 1 4; 2θ = 23.8°, intensity 16, hkl 0 1 1; 2θ = 38.3°, intensity 16, hkl 1 0 3; 2θ = 55.6°, intensity 13, hkl 2 2 2; 2θ = 59.4°, intensity 13, hkl 3 2 1; 2θ = 57.8°, intensity 13, hkl 4 1 1